No. 1
Starting from the GGA-PBE geometry in OQMD, the X-ray diffraction stick pattern of Tc4O11 was simulated for a wavelength of 1.5418 Å.
Kinematic intensities with the Lorentz-polarization factor, no thermal factor.

Most intense lines, 15 to 90 degrees two-theta, by angle:
2θ/deg, d [Å], intensity
19.9, 4.464, 15.1
20.2, 4.386, 100.0
20.4, 4.343, 26.9
20.9, 4.252, 49.8
23.4, 3.803, 37.7
23.8, 3.734, 16.8
34.4, 2.608, 20.2
34.9, 2.573, 20.9
35.7, 2.516, 15.3
43.5, 2.079, 40.2

Crystal structure
```
data_Tc4O11
_cell_length_a 4.754
_cell_length_b 5.181
_cell_length_c 8.902
_cell_angle_alpha 84.13
_cell_angle_beta 77.77
_cell_angle_gamma 76.58
_symmetry_space_group_name_H-M 'P 1'
_symmetry_Int_Tables_number 1
loop_
_symmetry_equiv_pos_as_xyz
'x,y,z'
loop_
_atom_site_label
_atom_site_fract_x
_atom_site_fract_y
_atom_site_fract_z
Tc1 0.000 0.000 0.000
Tc2 0.154 0.638 0.817
Tc3 0.473 0.567 0.487
Tc4 0.703 0.051 0.335
O1 0.039 0.104 0.202
O2 0.059 0.328 0.913
O3 0.124 0.527 0.616
O4 0.298 0.707 0.006
O5 0.340 0.923 0.427
O6 0.440 0.394 0.318
O7 0.517 0.646 0.703
O8 0.650 0.969 0.118
O9 0.733 0.221 0.506
O10 0.833 0.693 0.393
O11 0.861 0.936 0.808
```

---

No. 2
Starting from the GGA-PBE geometry in OQMD, the X-ray diffraction stick pattern of Tc4O5 was simulated for a wavelength of 1.5418 Å.
Kinematic intensities with the Lorentz-polarization factor, no thermal factor.

Most intense lines, 15 to 90 degrees two-theta, by angle:
2θ/deg, d [Å], intensity
32.6, 2.747, 77.6
35.0, 2.562, 100.0
42.3, 2.139, 13.9
46.3, 1.962, 20.6
46.8, 1.942, 51.3
52.2, 1.751, 11.8
59.7, 1.548, 42.0
67.9, 1.380, 12.4
68.3, 1.373, 15.2
77.7, 1.228, 12.9

Crystal structure
```
data_Tc4O5
_cell_length_a 3.885
_cell_length_b 3.885
_cell_length_c 6.818
_cell_angle_alpha 90.00
_cell_angle_beta 90.00
_cell_angle_gamma 90.00
_symmetry_space_group_name_H-M 'P 4/m m m'
_symmetry_Int_Tables_number 123
_symmetry_space_group_name_Hall '-P 4 2'
loop_
_atom_site_label
_atom_site_fract_x
_atom_site_fract_y
_atom_site_fract_z
Tc1 0.000 0.000 0.000
Tc2 0.000 0.000 0.500
Tc3 0.500 0.500 0.179
O1 0.000 0.500 0.232
O2 0.500 0.500 0.500
```

---

Q: Which formula does entry 1 have?
A: Tc4O11